Structure and calculated X-ray powder pattern of NaSn4P3O12 (a crystal structure in the Materials Project, relaxed with PBE; Cu Kα X-rays).
Lines closer than 0.1° are merged.

Structural model:
Cell lengths 9.8584, 9.8584, 24.8878 Å; angles 90.00, 90.00, 120.00 degrees
Space group R3c (No. 161, hexagonal axes)
Symmetry-distinct sites (fractional):
Na 0.0000 0.0000 0.0000 x6
Sn 0.0000 0.0000 0.1491 x6
Sn 0.1342 0.4003 0.4479 x18
P 0.0069 0.4533 0.2416 x18
O 0.0313 0.4931 0.6864 x18
O 0.0391 0.4311 0.5654 x18
O 0.1549 0.4070 0.1151 x18
O 0.1693 0.4887 0.2634 x18

Largest 10 diffraction maxima, in order of rising 2θ, 10 to 90 degrees two-theta:
- 4.238 Å, I = 226, (1 1 3)
- 4.148 Å, I = 392, (0 0 6)
- 4.038 Å, I = 1000, (2 0 2)
- 3.200 Å, I = 375, (2 1 1)
- 3.174 Å, I = 247, (1 1 6)
- 2.865 Å, I = 279, (2 1 4)
- 2.389 Å, I = 209, (2 1 7)
- 2.347 Å, I = 191, (0 3 6)
- 1.971 Å, I = 213, (2 1 10)
- 1.818 Å, I = 231, (4 1 3)